Starting from a DFT-relaxed cell (GGA-PBE, OQMD), the powder diffraction line list of Nb2BPb was computed for Cu Kα (weighted mean of Kα1 and Kα2).
Intensities are scaled so that the largest is 100.

Most intense lines, 10 to 90 degrees two-theta, most intense first:
(hkl)	2θ/deg	I (rel.)
1 0 3	36.37	100
1 0 0	31.02	23
1 1 0	55.18	21
1 1 6	68.65	20
0 0 6	37.53	20
1 0 9	66.96	17
2 0 3	67.90	16
0 0 2	12.31	16
1 0 6	49.46	15
1 0 1	31.65	11

Crystal structure
```
data_Nb2BPb
_chemical_formula_sum 'Nb4 B2 Pb2'
_symmetry_space_group_name_H-M 'P 1'
_symmetry_Int_Tables_number 1
_symmetry_space_group_name_Hall 'P 1'
_cell_length_a 3.329
_cell_length_b 3.329
_cell_length_c 14.379
_cell_angle_alpha 90.00
_cell_angle_beta 90.00
_cell_angle_gamma 120.00
loop_
_atom_site_label
_atom_site_type_symbol
_atom_site_fract_x
_atom_site_fract_y
_atom_site_fract_z
Nb1 Nb 0.333 0.667 0.084
Nb2 Nb 0.333 0.667 0.416
Nb3 Nb 0.667 0.333 0.584
Nb4 Nb 0.667 0.333 0.916
B1 B 0.000 0.000 0.000
B2 B 0.000 0.000 0.500
Pb1 Pb 0.333 0.667 0.750
Pb2 Pb 0.667 0.333 0.250
```